[1]
# K2NaN8
Computed XRD peak list, Cu Kα, 1.54184 Å. Input: a crystal structure in Alexandria, relaxed with PBE.

Most intense lines, 10° ≤ 2θ ≤ 90°, low angle first:
| 2θ (°) | I_rel |
| --- | --- |
| 26.10 | 80 |
| 30.23 | 44 |
| 30.95 | 100 |
| 34.55 | 67 |
| 42.57 | 38 |
| 53.69 | 32 |

Crystal structure
abc: 6.829 6.829 5.424
angles: 90.00 90.00 120.00
Positions (direct):
K1 0.333 0.667 0.000
K2 0.667 0.333 0.000
Na1 0.000 0.000 0.000
N1 0.000 0.000 0.394
N2 0.000 0.000 0.606
N3 0.000 0.500 0.394
N4 0.000 0.500 0.606
N5 0.500 0.000 0.394
N6 0.500 0.000 0.606
N7 0.500 0.500 0.394
N8 0.500 0.500 0.606

***

[2]
# Li2Dy2YPb2
Computed XRD peak list, Cu Kα, 1.54184 Å. Input: a crystal structure in Alexandria, relaxed with PBE.

Most intense lines, 10° ≤ 2θ ≤ 90°, low angle first:
| 2θ (°) | I_rel |
| --- | --- |
| 21.50 | 42 |
| 22.26 | 55 |
| 31.69 | 79 |
| 34.31 | 93 |
| 37.23 | 100 |
| 64.96 | 36 |

Crystal structure
abc: 9.352 9.352 9.352
angles: 29.94 29.94 29.94
Positions (direct):
Li1 0.096 0.096 0.096
Li2 0.904 0.904 0.904
Dy1 0.371 0.371 0.371
Dy2 0.629 0.629 0.629
Y1 0.500 0.500 0.500
Pb1 0.236 0.236 0.236
Pb2 0.764 0.764 0.764